No. 1
Structure and simulated powder X-ray diffraction pattern of Pr6Cd2Ag (a crystal structure in Alexandria, relaxed with PBE; copper Kα).

Atomic structure:
a b c (Å): 6.5130 9.6211 10.3271
angles (deg): 90.00 116.80 90.00
Space group P2_1/c (No. 14)
Asymmetric unit:
Pr 0.0768 0.1697 0.4737
Pr 0.3503 0.6922 0.4418
Pr 0.4135 0.0369 0.2948
Cd 0.1464 0.0992 0.7811
Ag 0.0000 0.0000 0.0000

The 12 most intense peaks (2θ from 15° to 90°), low angle first:
2theta	I/Imax	hkl
26.8	47	0 2 2
28.4	41	1 2 1
29.3	27	2 1 -1
29.5	30	2 1 -2
29.7	34	1 0 2
31.2	100	1 3 -1
32.1	21	1 2 -3
32.2	37	2 1 0
32.8	46	2 1 -3
36.1	22	1 1 -4
38.5	21	2 1 -4
40.0	28	1 4 -1


No. 2
Structure and simulated powder X-ray diffraction pattern of PrGa6Pt4 (a crystal structure in Alexandria, relaxed with PBE; copper Kα).

Atomic structure:
a b c (Å): 7.4127 7.4127 4.0789
angles (deg): 90.00 90.00 120.00
Space group P-6m2 (No. 187)
Asymmetric unit:
Pr 0.0000 0.0000 0.0000
Ga 0.1969 0.3938 0.5000
Ga 0.5336 0.0672 0.0000
Pt 0.3333 0.6667 0.0000
Pt 0.4038 0.2019 0.5000

The 12 most intense peaks (2θ from 15° to 90°), low angle first:
2theta	I/Imax	hkl
25.9	48	1 0 1
27.8	47	2 0 0
32.6	75	1 1 1
35.6	100	2 0 1
37.1	68	2 1 0
43.4	90	2 1 1
44.4	49	0 0 2
48.0	68	3 0 1
49.2	45	2 2 0
59.2	35	2 1 2
68.4	33	2 2 2
78.0	26	5 0 1


No. 3
Structure and simulated powder X-ray diffraction pattern of CeErNi2P2 (a crystal structure in Alexandria, relaxed with PBE; copper Kα).

Atomic structure:
a b c (Å): 3.9133 3.9133 7.7440
angles (deg): 90.00 90.00 120.00
Space group P-3m1 (No. 164)
Asymmetric unit:
Ce 0.0000 0.0000 0.0000
Er 0.0000 0.0000 0.5000
Ni 0.3333 0.6667 0.7538
P 0.3333 0.6667 0.2609

The 12 most intense peaks (2θ from 15° to 90°), low angle first:
2theta	I/Imax	hkl
26.3	28	1 0 0
28.8	4	0 1 1
35.2	100	1 0 2
46.4	35	1 1 0
46.9	11	0 0 4
54.1	4	2 0 0
54.6	8	0 1 4
59.6	21	0 2 2
68.1	21	1 1 4
78.7	19	2 1 2
79.5	9	1 0 6
86.1	6	3 0 0


Copy entry 1 word for word.
Structure and simulated powder X-ray diffraction pattern of Pr6Cd2Ag (a crystal structure in Alexandria, relaxed with PBE; copper Kα).

Atomic structure:
a b c (Å): 6.5130 9.6211 10.3271
angles (deg): 90.00 116.80 90.00
Space group P2_1/c (No. 14)
Asymmetric unit:
Pr 0.0768 0.1697 0.4737
Pr 0.3503 0.6922 0.4418
Pr 0.4135 0.0369 0.2948
Cd 0.1464 0.0992 0.7811
Ag 0.0000 0.0000 0.0000

The 12 most intense peaks (2θ from 15° to 90°), low angle first:
2theta	I/Imax	hkl
26.8	47	0 2 2
28.4	41	1 2 1
29.3	27	2 1 -1
29.5	30	2 1 -2
29.7	34	1 0 2
31.2	100	1 3 -1
32.1	21	1 2 -3
32.2	37	2 1 0
32.8	46	2 1 -3
36.1	22	1 1 -4
38.5	21	2 1 -4
40.0	28	1 4 -1